Record 1
Theoretical powder diffractogram of Dy6Lu2Te for a wavelength of 1.5418 Å, from DFT lattice parameters and positions (GGA-PBE).

Structure:
```
data_Dy6Lu2Te
_cell_length_a 9.1916
_cell_length_b 9.1916
_cell_length_c 3.7481
_cell_angle_alpha 90.00
_cell_angle_beta 90.00
_cell_angle_gamma 120.00
_space_group_name_H-M_alt 'P 1'
_space_group_IT_number 1
_space_group_name_Hall 'P 1'
loop_
_atom_site_label
_atom_site_type_symbol
_atom_site_fract_x
_atom_site_fract_y
_atom_site_fract_z
_atom_site_occupancy
Dy1 Dy 0.0000 0.2759 0.0000 1
Dy2 Dy 0.0000 0.6154 0.5000 1
Dy3 Dy 0.2759 0.0000 0.0000 1
Dy4 Dy 0.3846 0.3846 0.5000 1
Dy5 Dy 0.6154 0.0000 0.5000 1
Dy6 Dy 0.7241 0.7241 0.0000 1
Lu1 Lu 0.3333 0.6667 0.0000 1
Lu2 Lu 0.6667 0.3333 0.0000 1
Te1 Te 0.0000 0.0000 0.5000 1
```

The 10 most intense peaks (10° ≤ 2θ ≤ 90°), in order of rising 2θ:
- 2θ 29.69, I 39
- 2θ 30.78, I 100
- 2θ 32.82, I 57
- 2θ 33.78, I 82
- 2θ 38.36, I 29
- 2θ 46.35, I 14
- 2θ 48.58, I 16
- 2θ 56.02, I 38
- 2θ 60.47, I 37
- 2θ 63.49, I 14

=====

Record 2
Theoretical powder diffractogram of DyMg for a wavelength of 1.5418 Å, from DFT lattice parameters and positions (GGA-PBE).

Structure:
```
data_DyMg
_cell_length_a 3.6524
_cell_length_b 5.3840
_cell_length_c 11.1845
_cell_angle_alpha 90.00
_cell_angle_beta 90.00
_cell_angle_gamma 90.00
_space_group_name_H-M_alt 'P 1'
_space_group_IT_number 1
_space_group_name_Hall 'P 1'
loop_
_atom_site_label
_atom_site_type_symbol
_atom_site_fract_x
_atom_site_fract_y
_atom_site_fract_z
_atom_site_occupancy
Dy1 Dy 0.2500 0.2500 0.0379 1
Dy2 Dy 0.2500 0.7500 0.2373 1
Dy3 Dy 0.7500 0.2500 0.7627 1
Dy4 Dy 0.7500 0.7500 0.9621 1
Mg1 Mg 0.2500 0.2500 0.5111 1
Mg2 Mg 0.2500 0.7500 0.7103 1
Mg3 Mg 0.7500 0.2500 0.2897 1
Mg4 Mg 0.7500 0.7500 0.4889 1
```

The 10 most intense peaks (10° ≤ 2θ ≤ 90°), in order of rising 2θ:
- 2θ 18.29, I 18
- 2θ 25.66, I 24
- 2θ 29.15, I 41
- 2θ 30.64, I 16
- 2θ 32.01, I 19
- 2θ 33.28, I 29
- 2θ 33.71, I 100
- 2θ 36.20, I 15
- 2θ 59.74, I 19
- 2θ 61.35, I 13

=====

Record 3
Theoretical powder diffractogram of DyMg for a wavelength of 1.5418 Å, from DFT lattice parameters and positions (GGA-PBE).

Structure:
```
data_DyMg
_cell_length_a 10.7755
_cell_length_b 10.7755
_cell_length_c 5.0979
_cell_angle_alpha 90.00
_cell_angle_beta 90.00
_cell_angle_gamma 152.61
_space_group_name_H-M_alt 'P 1'
_space_group_IT_number 1
_space_group_name_Hall 'P 1'
loop_
_atom_site_label
_atom_site_type_symbol
_atom_site_fract_x
_atom_site_fract_y
_atom_site_fract_z
_atom_site_occupancy
Dy1 Dy 0.0000 0.0000 0.0000 1
Dy2 Dy 0.1939 0.8061 0.0000 1
Dy3 Dy 0.3094 0.6906 0.5000 1
Dy4 Dy 0.6906 0.3094 0.5000 1
Dy5 Dy 0.8061 0.1939 0.0000 1
Mg1 Mg 0.0907 0.9093 0.5000 1
Mg2 Mg 0.4091 0.5909 0.0000 1
Mg3 Mg 0.5000 0.5000 0.5000 1
Mg4 Mg 0.5909 0.4091 0.0000 1
Mg5 Mg 0.9093 0.0907 0.5000 1
```

The 10 most intense peaks (10° ≤ 2θ ≤ 90°), in order of rising 2θ:
- 2θ 25.06, I 26
- 2θ 25.52, I 12
- 2θ 27.85, I 25
- 2θ 32.77, I 100
- 2θ 35.20, I 44
- 2θ 43.21, I 11
- 2θ 43.98, I 11
- 2θ 50.63, I 15
- 2θ 56.90, I 18
- 2θ 61.63, I 32

=====

Record 4
Theoretical powder diffractogram of DyMg for a wavelength of 1.5418 Å, from DFT lattice parameters and positions (GGA-PBE).

Structure:
```
data_DyMg
_cell_length_a 5.4554
_cell_length_b 6.8456
_cell_length_c 5.9429
_cell_angle_alpha 90.00
_cell_angle_beta 90.00
_cell_angle_gamma 90.00
_space_group_name_H-M_alt 'P 1'
_space_group_IT_number 1
_space_group_name_Hall 'P 1'
loop_
_atom_site_label
_atom_site_type_symbol
_atom_site_fract_x
_atom_site_fract_y
_atom_site_fract_z
_atom_site_occupancy
Dy1 Dy 0.0000 0.0000 0.0000 1
Dy2 Dy 0.0000 0.2505 0.5106 1
Dy3 Dy 0.0000 0.7495 0.5106 1
Dy4 Dy 0.5000 0.0000 0.3515 1
Mg1 Mg 0.0000 0.5000 0.0154 1
Mg2 Mg 0.5000 0.2545 0.8424 1
Mg3 Mg 0.5000 0.5000 0.3339 1
Mg4 Mg 0.5000 0.7455 0.8424 1
```

The 10 most intense peaks (10° ≤ 2θ ≤ 90°), in order of rising 2θ:
- 2θ 12.93, I 27
- 2θ 14.91, I 15
- 2θ 16.25, I 17
- 2θ 25.70, I 19
- 2θ 30.11, I 32
- 2θ 32.84, I 27
- 2θ 34.40, I 100
- 2θ 45.15, I 21
- 2θ 59.63, I 20
- 2θ 64.16, I 14

=====

Record 5
Theoretical powder diffractogram of DyMgZnN2 for a wavelength of 1.5418 Å, from DFT lattice parameters and positions (GGA-PBE).

Structure:
```
data_DyMgZnN2
_cell_length_a 3.4572
_cell_length_b 3.4572
_cell_length_c 6.2050
_cell_angle_alpha 90.00
_cell_angle_beta 90.00
_cell_angle_gamma 120.00
_space_group_name_H-M_alt 'P 1'
_space_group_IT_number 1
_space_group_name_Hall 'P 1'
loop_
_atom_site_label
_atom_site_type_symbol
_atom_site_fract_x
_atom_site_fract_y
_atom_site_fract_z
_atom_site_occupancy
Dy1 Dy 0.0000 0.0000 0.0000 1
Mg1 Mg 0.6667 0.3333 0.6304 1
Zn1 Zn 0.3333 0.6667 0.3444 1
N1 N 0.3333 0.6667 0.7556 1
N2 N 0.6667 0.3333 0.2716 1
```

The 10 most intense peaks (10° ≤ 2θ ≤ 90°), in order of rising 2θ:
- 2θ 14.27, I 37
- 2θ 29.84, I 19
- 2θ 33.22, I 100
- 2θ 41.93, I 57
- 2θ 43.77, I 13
- 2θ 52.97, I 27
- 2θ 63.98, I 15
- 2θ 68.07, I 12
- 2θ 71.07, I 18
- 2θ 87.65, I 13

=====

Record 6
Theoretical powder diffractogram of NdDyMg6 for a wavelength of 1.5418 Å, from DFT lattice parameters and positions (GGA-PBE).

Structure:
```
data_NdDyMg6
_cell_length_a 5.1984
_cell_length_b 5.1984
_cell_length_c 7.3853
_cell_angle_alpha 90.00
_cell_angle_beta 90.00
_cell_angle_gamma 90.00
_space_group_name_H-M_alt 'P 1'
_space_group_IT_number 1
_space_group_name_Hall 'P 1'
loop_
_atom_site_label
_atom_site_type_symbol
_atom_site_fract_x
_atom_site_fract_y
_atom_site_fract_z
_atom_site_occupancy
Nd1 Nd 0.0000 0.0000 0.0000 1
Dy1 Dy 0.5000 0.5000 0.5000 1
Mg1 Mg 0.0000 0.0000 0.5000 1
Mg2 Mg 0.0000 0.5000 0.2551 1
Mg3 Mg 0.0000 0.5000 0.7449 1
Mg4 Mg 0.5000 0.0000 0.2551 1
Mg5 Mg 0.5000 0.0000 0.7449 1
Mg6 Mg 0.5000 0.5000 0.0000 1
```

The 10 most intense peaks (10° ≤ 2θ ≤ 90°), in order of rising 2θ:
- 2θ 20.90, I 70
- 2θ 24.10, I 13
- 2θ 24.21, I 25
- 2θ 34.45, I 100
- 2θ 40.55, I 13
- 2θ 40.69, I 26
- 2θ 42.53, I 11
- 2θ 49.60, I 12
- 2θ 61.62, I 12
- 2θ 61.77, I 24

=====

Record 7
Theoretical powder diffractogram of NdDyMg6 for a wavelength of 1.5418 Å, from DFT lattice parameters and positions (GGA-PBE).

Structure:
```
data_NdDyMg6
_cell_length_a 5.2053
_cell_length_b 7.3828
_cell_length_c 5.2062
_cell_angle_alpha 90.00
_cell_angle_beta 90.00
_cell_angle_gamma 90.00
_space_group_name_H-M_alt 'P 1'
_space_group_IT_number 1
_space_group_name_Hall 'P 1'
loop_
_atom_site_label
_atom_site_type_symbol
_atom_site_fract_x
_atom_site_fract_y
_atom_site_fract_z
_atom_site_occupancy
Nd1 Nd 0.0000 0.0000 0.0000 1
Dy1 Dy 0.5000 0.5000 0.4921 1
Mg1 Mg 0.0000 0.2544 0.5006 1
Mg2 Mg 0.0000 0.5000 0.9997 1
Mg3 Mg 0.0000 0.7456 0.5006 1
Mg4 Mg 0.5000 0.0000 0.4934 1
Mg5 Mg 0.5000 0.2544 0.9918 1
Mg6 Mg 0.5000 0.7456 0.9918 1
```

The 10 most intense peaks (10° ≤ 2θ ≤ 90°), in order of rising 2θ:
- 2θ 20.88, I 70
- 2θ 24.15, I 37
- 2θ 34.42, I 100
- 2θ 40.60, I 39
- 2θ 42.50, I 11
- 2θ 49.53, I 12
- 2θ 54.26, I 17
- 2θ 55.83, I 10
- 2θ 61.65, I 24
- 2θ 61.70, I 12

=====

Record 8
Theoretical powder diffractogram of Dy4Mg3Ni2 for a wavelength of 1.5418 Å, from DFT lattice parameters and positions (GGA-PBE).

Structure:
```
data_Dy4Mg3Ni2
_cell_length_a 7.4312
_cell_length_b 3.6465
_cell_length_c 8.2656
_cell_angle_alpha 90.00
_cell_angle_beta 108.06
_cell_angle_gamma 90.00
_space_group_name_H-M_alt 'P 1'
_space_group_IT_number 1
_space_group_name_Hall 'P 1'
loop_
_atom_site_label
_atom_site_type_symbol
_atom_site_fract_x
_atom_site_fract_y
_atom_site_fract_z
_atom_site_occupancy
Dy1 Dy 0.0877 0.0000 0.2212 1
Dy2 Dy 0.3930 0.0000 0.6737 1
Dy3 Dy 0.6070 0.0000 0.3263 1
Dy4 Dy 0.9123 0.0000 0.7788 1
Mg1 Mg 0.0000 0.5000 0.5000 1
Mg2 Mg 0.2943 0.5000 0.0010 1
Mg3 Mg 0.7057 0.5000 0.9990 1
Ni1 Ni 0.3428 0.5000 0.3896 1
Ni2 Ni 0.6572 0.5000 0.6104 1
```

The 10 most intense peaks (10° ≤ 2θ ≤ 90°), in order of rising 2θ:
- 2θ 11.26, I 45
- 2θ 14.02, I 58
- 2θ 22.63, I 49
- 2θ 24.21, I 56
- 2θ 24.41, I 52
- 2θ 30.80, I 42
- 2θ 33.53, I 86
- 2θ 34.65, I 100
- 2θ 39.69, I 60
- 2θ 41.12, I 40

=====

Record 9
Theoretical powder diffractogram of DyYMg3Ni2 for a wavelength of 1.5418 Å, from DFT lattice parameters and positions (GGA-PBE).

Structure:
```
data_DyYMg3Ni2
_cell_length_a 3.6436
_cell_length_b 10.6954
_cell_length_c 10.6954
_cell_angle_alpha 21.38
_cell_angle_beta 90.00
_cell_angle_gamma 90.00
_space_group_name_H-M_alt 'P 1'
_space_group_IT_number 1
_space_group_name_Hall 'P 1'
loop_
_atom_site_label
_atom_site_type_symbol
_atom_site_fract_x
_atom_site_fract_y
_atom_site_fract_z
_atom_site_occupancy
Dy1 Dy 0.0000 0.0000 0.0000 1
Y1 Y 0.0000 0.6473 0.6473 1
Mg1 Mg 0.0000 0.8234 0.8234 1
Mg2 Mg 0.5000 0.2435 0.2435 1
Mg3 Mg 0.5000 0.4033 0.4033 1
Ni1 Ni 0.5000 0.1100 0.1100 1
Ni2 Ni 0.5000 0.5363 0.5363 1
```

The 10 most intense peaks (10° ≤ 2θ ≤ 90°), in order of rising 2θ:
- 2θ 25.42, I 23
- 2θ 25.82, I 31
- 2θ 33.67, I 64
- 2θ 35.55, I 63
- 2θ 35.83, I 100
- 2θ 37.57, I 27
- 2θ 39.85, I 70
- 2θ 45.04, I 25
- 2θ 45.74, I 29
- 2θ 59.23, I 28

=====

Record 10
Theoretical powder diffractogram of DyMg2O4 for a wavelength of 1.5418 Å, from DFT lattice parameters and positions (GGA-PBE).

Structure:
```
data_DyMg2O4
_cell_length_a 6.2376
_cell_length_b 6.2376
_cell_length_c 6.2376
_cell_angle_alpha 60.00
_cell_angle_beta 60.00
_cell_angle_gamma 60.00
_space_group_name_H-M_alt 'P 1'
_space_group_IT_number 1
_space_group_name_Hall 'P 1'
loop_
_atom_site_label
_atom_site_type_symbol
_atom_site_fract_x
_atom_site_fract_y
_atom_site_fract_z
_atom_site_occupancy
Dy1 Dy 0.1250 0.1250 0.1250 1
Dy2 Dy 0.8750 0.8750 0.8750 1
Mg1 Mg 0.0000 0.5000 0.5000 1
Mg2 Mg 0.5000 0.0000 0.5000 1
Mg3 Mg 0.5000 0.5000 0.0000 1
Mg4 Mg 0.5000 0.5000 0.5000 1
O1 O 0.2636 0.2636 0.2636 1
O2 O 0.2636 0.2636 0.7091 1
O3 O 0.2636 0.7091 0.2636 1
O4 O 0.2909 0.7364 0.7364 1
O5 O 0.7091 0.2636 0.2636 1
O6 O 0.7364 0.2909 0.7364 1
O7 O 0.7364 0.7364 0.2909 1
O8 O 0.7364 0.7364 0.7364 1
```

The 10 most intense peaks (10° ≤ 2θ ≤ 90°), in order of rising 2θ:
- 2θ 17.41, I 49
- 2θ 28.62, I 100
- 2θ 33.70, I 92
- 2θ 44.78, I 23
- 2θ 50.70, I 40
- 2θ 54.02, I 37
- 2θ 59.26, I 33
- 2θ 67.11, I 17
- 2θ 81.69, I 21
- 2θ 84.33, I 19

=====

Record 11
Theoretical powder diffractogram of DyMgPO for a wavelength of 1.5418 Å, from DFT lattice parameters and positions (GGA-PBE).

Structure:
```
data_DyMgPO
_cell_length_a 4.3048
_cell_length_b 6.1089
_cell_length_c 5.7442
_cell_angle_alpha 90.00
_cell_angle_beta 90.00
_cell_angle_gamma 90.00
_space_group_name_H-M_alt 'P 1'
_space_group_IT_number 1
_space_group_name_Hall 'P 1'
loop_
_atom_site_label
_atom_site_type_symbol
_atom_site_fract_x
_atom_site_fract_y
_atom_site_fract_z
_atom_site_occupancy
Dy1 Dy 0.0000 0.2230 0.0000 1
Dy2 Dy 0.0000 0.7770 0.5000 1
Mg1 Mg 0.5000 0.3804 0.6160 1
Mg2 Mg 0.5000 0.6196 0.1160 1
P1 P 0.0000 0.2299 0.4887 1
P2 P 0.0000 0.7701 0.9887 1
O1 O 0.5000 0.3275 0.9615 1
O2 O 0.5000 0.6725 0.4615 1
```

The 10 most intense peaks (10° ≤ 2θ ≤ 90°), in order of rising 2θ:
- 2θ 20.63, I 72
- 2θ 21.23, I 100
- 2θ 29.24, I 50
- 2θ 29.78, I 84
- 2θ 31.14, I 52
- 2θ 36.06, I 48
- 2θ 37.65, I 43
- 2θ 41.98, I 28
- 2θ 43.24, I 34
- 2θ 48.37, I 41

=====

Record 12
Theoretical powder diffractogram of Pr2DyMg4Tl2 for a wavelength of 1.5418 Å, from DFT lattice parameters and positions (GGA-PBE).

Structure:
```
data_Pr2DyMg4Tl2
_cell_length_a 4.7564
_cell_length_b 7.6648
_cell_length_c 7.6648
_cell_angle_alpha 119.06
_cell_angle_beta 90.00
_cell_angle_gamma 90.00
_space_group_name_H-M_alt 'P 1'
_space_group_IT_number 1
_space_group_name_Hall 'P 1'
loop_
_atom_site_label
_atom_site_type_symbol
_atom_site_fract_x
_atom_site_fract_y
_atom_site_fract_z
_atom_site_occupancy
Pr1 Pr 0.0000 0.2139 0.7861 1
Pr2 Pr 0.0000 0.7861 0.2139 1
Dy1 Dy 0.0000 0.6469 0.6469 1
Mg1 Mg 0.0000 0.2247 0.2247 1
Mg2 Mg 0.5000 0.2168 0.4596 1
Mg3 Mg 0.5000 0.4596 0.2168 1
Mg4 Mg 0.5000 0.9764 0.9764 1
Tl1 Tl 0.5000 0.5507 0.8764 1
Tl2 Tl 0.5000 0.8764 0.5507 1
```

The 10 most intense peaks (10° ≤ 2θ ≤ 90°), in order of rising 2θ:
- 2θ 13.22, I 72
- 2θ 13.40, I 22
- 2θ 23.21, I 21
- 2θ 29.68, I 45
- 2θ 29.94, I 100
- 2θ 32.70, I 69
- 2θ 33.02, I 40
- 2θ 37.83, I 32
- 2θ 40.24, I 20
- 2θ 63.36, I 18

=====

- Number 8 is which compound?
  Dy4Mg3Ni2